Diffraction record for MgMn8O13F3. The powder X-ray diffraction pattern is computed, not measured: it uses DFT lattice parameters and positions (PBE+U) and CuKα.
Peak positions follow from Bragg's law for the DFT cell and can differ from measured ones.

Structural model:
a b c (Å): 5.665 6.818 6.941
angles (deg): 94.77 91.79 91.00
Space group P1 (No. 1)
Asymmetric unit:
Mg1 0.000 0.000 0.000
Mn1 0.018 0.272 0.289
Mn2 0.036 0.718 0.725
Mn3 0.212 0.741 0.262
Mn4 0.273 0.228 0.737
Mn5 0.520 0.978 0.989
Mn6 0.534 0.496 0.516
Mn7 0.737 0.485 0.000
Mn8 0.749 0.002 0.512
O1 0.018 0.023 0.705
O2 0.249 0.790 0.981
O3 0.267 0.687 0.527
O4 0.285 0.180 0.008
O5 0.286 0.291 0.474
O6 0.507 0.441 0.780
O7 0.513 0.037 0.711
O8 0.765 0.281 0.470
O9 0.772 0.209 0.063
O10 0.773 0.710 0.542
O11 0.773 0.768 0.941
O12 0.993 0.524 0.199
O13 0.999 0.986 0.303
F1 0.027 0.429 0.792
F2 0.500 0.538 0.234
F3 0.507 0.937 0.291

The 10 most intense peaks (2θ from 10° to 90°), by angle:
d = 3.660 Å, 2θ 24.32, I = 100, hkl -1 1 1
d = 3.533 Å, 2θ 25.20, I = 92, hkl 1 1 1
d = 2.994 Å, 2θ 29.84, I = 70, hkl 1 0 -2
d = 2.939 Å, 2θ 30.42, I = 68, hkl 1 -2 0
d = 2.908 Å, 2θ 30.75, I = 66, hkl 1 0 2
d = 2.887 Å, 2θ 30.98, I = 68, hkl 1 2 0
d = 2.531 Å, 2θ 35.47, I = 48, hkl 0 2 -2
d = 2.480 Å, 2θ 36.22, I = 47, hkl 2 1 -1
d = 2.461 Å, 2θ 36.51, I = 43, hkl 2 -1 1
d = 1.728 Å, 2θ 52.99, I = 62, hkl 0 0 4

***

Diffraction record for CrO3. The powder X-ray diffraction pattern is computed, not measured: it uses DFT lattice parameters and positions (PBE+U) and CuKα.
Peak positions follow from Bragg's law for the DFT cell and can differ from measured ones.

Structural model:
a b c (Å): 5.561 5.338 8.667
angles (deg): 90.00 90.00 90.00
Space group Pna2_1 (No. 33)
Asymmetric unit:
Cr1 0.226 0.072 0.000
O1 0.081 0.831 0.506
O2 0.220 0.394 0.644
O3 0.227 0.413 0.347

The 10 most intense peaks (2θ from 10° to 90°), by angle:
d = 4.545 Å, 2θ 19.53, I = 19, hkl 0 1 1
d = 4.333 Å, 2θ 20.50, I = 44, hkl 0 0 2
d = 3.519 Å, 2θ 25.31, I = 100, hkl 1 1 1
d = 2.780 Å, 2θ 32.19, I = 20, hkl 2 0 0
d = 2.541 Å, 2θ 35.33, I = 17, hkl 0 1 3
d = 2.104 Å, 2θ 42.99, I = 11, hkl 1 2 2
d = 1.716 Å, 2θ 53.38, I = 12, hkl 3 1 1
d = 1.610 Å, 2θ 57.21, I = 8, hkl 1 2 4
d = 1.515 Å, 2θ 61.17, I = 6, hkl 0 3 3
d = 1.330 Å, 2θ 70.83, I = 6, hkl 2 3 3

***

Diffraction record for Fe3OF5. The powder X-ray diffraction pattern is computed, not measured: it uses DFT lattice parameters and positions (PBE+U) and CuKα.
Peak positions follow from Bragg's law for the DFT cell and can differ from measured ones.

Structural model:
a b c (Å): 4.807 5.807 8.075
angles (deg): 92.60 90.64 90.16
Space group P1 (No. 1)
Asymmetric unit:
Fe1 0.000 0.000 0.000
Fe2 0.002 0.676 0.689
Fe3 0.448 0.522 0.019
Fe4 0.480 0.829 0.335
Fe5 0.490 0.183 0.666
Fe6 0.991 0.357 0.326
O1 0.192 0.708 0.891
O2 0.296 0.538 0.231
F1 0.175 0.387 0.583
F2 0.183 0.041 0.237
F3 0.274 0.879 0.572
F4 0.294 0.223 0.905
F5 0.686 0.145 0.433
F6 0.688 0.485 0.775
F7 0.689 0.801 0.095
F8 0.773 0.308 0.089
F9 0.788 0.971 0.758
F10 0.792 0.651 0.462

The 10 most intense peaks (2θ from 10° to 90°), by angle:
d = 3.408 Å, 2θ 26.14, I = 100, hkl 1 1 -1
d = 3.395 Å, 2θ 26.25, I = 100, hkl 1 -1 1
d = 2.702 Å, 2θ 33.15, I = 28, hkl -1 1 2
d = 2.690 Å, 2θ 33.31, I = 57, hkl 0 0 3
d = 2.675 Å, 2θ 33.50, I = 29, hkl 1 1 2
d = 2.356 Å, 2θ 38.19, I = 21, hkl -1 2 1
d = 1.800 Å, 2θ 50.70, I = 31, hkl 1 1 -4
d = 1.797 Å, 2θ 50.80, I = 33, hkl 1 -3 0
d = 1.787 Å, 2θ 51.13, I = 32, hkl 2 2 1
d = 1.438 Å, 2θ 64.82, I = 23, hkl 0 4 -1

***

Diffraction record for Na3Ni2P2C2O14. The powder X-ray diffraction pattern is computed, not measured: it uses DFT lattice parameters and positions (PBE+U) and CuKα.
Peak positions follow from Bragg's law for the DFT cell and can differ from measured ones.

Structural model:
a b c (Å): 6.519 10.162 10.333
angles (deg): 61.21 89.91 89.14
Space group P-1 (No. 2)
Asymmetric unit:
Na1 0.010 0.246 0.250
Na2 0.031 0.244 0.750
Na3 0.484 0.246 0.253
Ni1 0.255 0.847 0.939
Ni2 0.256 0.842 0.435
P1 0.249 0.073 0.074
P2 0.250 0.077 0.569
C1 0.250 0.574 0.106
C2 0.251 0.571 0.608
O1 0.061 0.178 0.555
O2 0.062 0.177 0.057
O3 0.241 0.924 0.221
O4 0.243 0.036 0.945
O5 0.245 0.435 0.192
O6 0.246 0.038 0.440
O7 0.249 0.434 0.697
O8 0.250 0.627 0.466
O9 0.250 0.674 0.150
O10 0.251 0.929 0.717
O11 0.254 0.674 0.650
O12 0.257 0.635 0.963
O13 0.436 0.169 0.066
O14 0.437 0.176 0.549

The 10 most intense peaks (2θ from 10° to 90°), by angle:
d = 5.301 Å, 2θ 16.72, I = 53, hkl 1 1 0
d = 5.219 Å, 2θ 16.99, I = 57, hkl 1 -1 0
d = 4.409 Å, 2θ 20.14, I = 53, hkl 0 2 2
d = 4.048 Å, 2θ 21.96, I = 61, hkl -1 1 2
d = 3.424 Å, 2θ 26.02, I = 73, hkl 0 1 -2
d = 3.259 Å, 2θ 27.36, I = 100, hkl 2 0 0
d = 2.652 Å, 2θ 33.80, I = 36, hkl 2 2 0
d = 2.635 Å, 2θ 34.02, I = 39, hkl 2 0 2
d = 2.609 Å, 2θ 34.38, I = 59, hkl 0 2 -2
d = 2.582 Å, 2θ 34.74, I = 55, hkl 0 2 4

***

Diffraction record for ZnFe2O4. The powder X-ray diffraction pattern is computed, not measured: it uses DFT lattice parameters and positions (PBE+U) and CuKα.
Peak positions follow from Bragg's law for the DFT cell and can differ from measured ones.

Structural model:
a b c (Å): 8.538 8.538 8.538
angles (deg): 90.00 90.00 90.00
Space group Fd-3m (No. 227, origin choice 2)
Asymmetric unit:
Zn1 0.125 0.125 0.125
Fe1 0.000 0.000 0.500
O1 0.011 0.011 0.739

The 10 most intense peaks (2θ from 10° to 90°), by angle:
d = 3.019 Å, 2θ 29.59, I = 35, hkl 2 2 0
d = 2.574 Å, 2θ 34.85, I = 100, hkl 3 1 1
d = 2.465 Å, 2θ 36.45, I = 7, hkl 2 2 2
d = 2.134 Å, 2θ 42.34, I = 14, hkl 4 0 0
d = 1.743 Å, 2θ 52.51, I = 13, hkl 4 2 2
d = 1.643 Å, 2θ 55.96, I = 37, hkl 5 1 1
d = 1.509 Å, 2θ 61.43, I = 44, hkl 4 4 0
d = 1.302 Å, 2θ 72.61, I = 10, hkl 5 3 3
d = 1.141 Å, 2θ 85.02, I = 6, hkl 6 4 2
d = 1.112 Å, 2θ 87.82, I = 17, hkl 5 5 3

***

Diffraction record for NaMnO2. The powder X-ray diffraction pattern is computed, not measured: it uses DFT lattice parameters and positions (PBE+U) and CuKα.
Peak positions follow from Bragg's law for the DFT cell and can differ from measured ones.

Structural model:
a b c (Å): 4.469 4.486 5.400
angles (deg): 114.52 114.38 90.01
Space group P1 (No. 1)
Asymmetric unit:
Na1 0.000 0.000 0.000
Na2 0.253 0.754 0.504
Mn1 0.501 0.501 0.002
Mn2 0.750 0.251 0.501
O1 0.286 0.285 0.565
O2 0.532 0.038 0.065
O3 0.720 0.725 0.439
O4 0.971 0.470 0.939

The 10 most intense peaks (2θ from 10° to 90°), by angle:
d = 3.986 Å, 2θ 22.30, I = 100, hkl 1 0 0
d = 2.566 Å, 2θ 34.97, I = 99, hkl 1 1 0
d = 2.243 Å, 2θ 40.20, I = 85, hkl 0 2 -1
d = 2.234 Å, 2θ 40.37, I = 83, hkl 2 0 -1
d = 2.189 Å, 2θ 41.24, I = 65, hkl 0 0 2
d = 1.583 Å, 2θ 58.29, I = 48, hkl 2 2 -2
d = 1.566 Å, 2θ 58.98, I = 59, hkl 0 2 -3
d = 1.563 Å, 2θ 59.11, I = 19, hkl 2 0 -3
d = 1.325 Å, 2θ 71.15, I = 15, hkl 1 -1 3
d = 1.283 Å, 2θ 73.88, I = 36, hkl 2 2 -4

***

Diffraction record for NiAs2O4. The powder X-ray diffraction pattern is computed, not measured: it uses DFT lattice parameters and positions (PBE+U) and CuKα.
Peak positions follow from Bragg's law for the DFT cell and can differ from measured ones.

Structural model:
a b c (Å): 8.339 8.339 5.756
angles (deg): 90.00 90.00 90.00
Space group P4_2/mbc (No. 135)
Asymmetric unit:
Ni1 0.000 0.500 0.250
As1 0.171 0.185 0.000
O1 0.107 0.363 0.500
O2 0.182 0.682 0.250

The 10 most intense peaks (2θ from 10° to 90°), by angle:
d = 5.897 Å, 2θ 15.02, I = 39, hkl 1 1 0
d = 3.130 Å, 2θ 28.52, I = 100, hkl 2 1 1
d = 2.948 Å, 2θ 30.32, I = 35, hkl 2 2 0
d = 2.637 Å, 2θ 34.00, I = 28, hkl 3 1 0
d = 2.586 Å, 2θ 34.68, I = 18, hkl 1 1 2
d = 2.369 Å, 2θ 37.99, I = 38, hkl 2 0 2
d = 1.908 Å, 2θ 47.66, I = 41, hkl 4 1 1
d = 1.706 Å, 2θ 53.72, I = 17, hkl 2 1 3
d = 1.623 Å, 2θ 56.71, I = 31, hkl 3 3 2
d = 1.422 Å, 2θ 65.66, I = 14, hkl 5 1 2

***

Diffraction record for Li9Mn2Co5O16. The powder X-ray diffraction pattern is computed, not measured: it uses DFT lattice parameters and positions (PBE+U) and CuKα.
Peak positions follow from Bragg's law for the DFT cell and can differ from measured ones.

Structural model:
a b c (Å): 5.908 7.712 7.782
angles (deg): 65.20 67.81 68.60
Space group P-1 (No. 2)
Asymmetric unit:
Li1 0.000 0.000 0.000
Li2 0.000 0.500 0.500
Li3 0.124 0.376 0.867
Li4 0.249 0.749 0.750
Li5 0.371 0.132 0.624
Li6 0.500 0.500 0.500
Mn1 0.245 0.253 0.250
Co1 0.122 0.865 0.376
Co2 0.374 0.619 0.136
Co3 0.500 0.000 0.000
O1 0.017 0.762 0.247
O2 0.098 0.641 0.631
O3 0.144 0.125 0.131
O4 0.241 0.016 0.479
O5 0.258 0.485 0.018
O6 0.372 0.377 0.353
O7 0.402 0.862 0.883
O8 0.489 0.753 0.250

The 10 most intense peaks (2θ from 10° to 90°), by angle:
d = 4.856 Å, 2θ 18.27, I = 100, hkl 1 0 1
d = 2.513 Å, 2θ 35.73, I = 15, hkl -1 1 2
d = 2.502 Å, 2θ 35.89, I = 14, hkl 1 2 -1
d = 2.484 Å, 2θ 36.16, I = 13, hkl 1 3 2
d = 2.094 Å, 2θ 43.21, I = 28, hkl -2 1 1
d = 2.087 Å, 2θ 43.37, I = 28, hkl 0 2 -2
d = 2.066 Å, 2θ 43.82, I = 27, hkl 2 3 3
d = 1.911 Å, 2θ 47.57, I = 9, hkl 3 2 1
d = 1.484 Å, 2θ 62.61, I = 7, hkl 2 -3 1
d = 1.477 Å, 2θ 62.92, I = 15, hkl 4 2 2